This entry pairs a crystal structure of Ce3Th2Sn3 with its simulated powder diffraction line list. Radiation: Cu Kα X-rays. Structure: a DFT-relaxed cell (GGA-PBE, Alexandria).
Lines closer than 0.1° are merged.

Peak list (10 most intense, 2θ = 15–90°, sorted by position)
| two_theta | Rel. int. | index |
| --- | --- | --- |
| 21.74 | 12.0 | 2 0 0 |
| 28.89 | 26.8 | 2 1 0 |
| 29.52 | 17.7 | 1 0 2 |
| 32.05 | 51.1 | 2 1 1 |
| 32.86 | 77.3 | 3 0 0 |
| 33.42 | 100.0 | 1 1 2 |
| 47.57 | 30.5 | 2 2 2 |
| 51.43 | 13.6 | 2 1 3 |
| 59.02 | 17.6 | 4 1 2 |
| 66.93 | 20.6 | 3 0 4 |

Structure:
Lattice parameters (Å, degrees): 9.4429 9.4429 6.5140 90.00 90.00 120.00
Space group P6_3/mcm (No. 193)
Symmetry-distinct sites (fractional):
Ce 0.0000 0.2660 0.2500 (multiplicity 6)
Th 0.3333 0.6667 0.0000 (multiplicity 4)
Sn 0.0000 0.3788 0.7500 (multiplicity 6)


This entry pairs a crystal structure of Ce4Tl3Sn with its simulated powder diffraction line list. Radiation: Cu Kα X-rays. Structure: a DFT-relaxed cell (GGA-PBE, Alexandria).
Lines closer than 0.1° are merged.

Peak list (10 most intense, 2θ = 15–90°, sorted by position)
| two_theta | Rel. int. | index |
| --- | --- | --- |
| 32.08 | 100.0 | 1 1 4 |
| 36.26 | 36.1 | 2 0 0 |
| 39.05 | 14.8 | 0 0 8 |
| 52.21 | 12.8 | 2 2 0 |
| 54.34 | 22.8 | 2 0 8 |
| 62.61 | 29.9 | 3 1 4 |
| 66.39 | 12.5 | 1 1 12 |
| 67.09 | 12.2 | 2 2 8 |
| 85.82 | 6.4 | 3 3 4 |
| 89.24 | 11.9 | 3 1 12 |

Structure:
Lattice parameters (Å, degrees): 4.9554 4.9554 18.4517 90.00 90.00 90.00
Space group I4/mmm (No. 139)
Symmetry-distinct sites (fractional):
Ce 0.0000 0.5000 0.1238 (multiplicity 8)
Tl 0.0000 0.0000 0.0000 (multiplicity 2)
Tl 0.0000 0.0000 0.2500 (multiplicity 4)
Sn 0.0000 0.0000 0.5000 (multiplicity 2)